# 1
Starting from DFT lattice parameters and positions (GGA-PBE), the PXRD pattern of Y2TmTl3AgIr2 was simulated for Cu Kα.

The 8 most intense peaks (2θ from 10° to 90°), in order of falling intensity:
two_theta, I_rel
32.91, 100
35.45, 78
39.68, 56
32.80, 48
35.59, 47
48.07, 41
42.58, 40
39.97, 32

Cell and atoms:
Cell: 3.785 7.832 7.832 Å, 119.53 90.00 90.00°
Atoms (fractional coordinates):
1 Y 0.000 0.206 0.794
2 Y 0.000 0.794 0.206
3 Tm 0.000 0.381 0.381
4 Tl 0.500 0.065 0.065
5 Tl 0.500 0.523 0.795
6 Tl 0.500 0.795 0.523
7 Ag 0.000 0.793 0.793
8 Ir 0.500 0.133 0.460
9 Ir 0.500 0.460 0.133

***

# 2
Starting from DFT lattice parameters and positions (GGA-PBE), the PXRD pattern of Li2LaCdIn2Ag2 was simulated for Cu Kα.

The 8 most intense peaks (2θ from 10° to 90°), in order of falling intensity:
two_theta, I_rel
36.01, 100
36.80, 48
65.77, 33
21.98, 32
53.02, 16
64.21, 16
25.79, 15
43.28, 11

Cell and atoms:
Cell: 4.885 4.885 7.212 Å, 90.00 90.00 90.00°
Atoms (fractional coordinates):
1 Li 0.000 0.500 0.205
2 Li 0.500 0.000 0.795
3 La 0.000 0.000 0.500
4 Cd 0.500 0.500 0.000
5 In 0.000 0.000 0.000
6 In 0.500 0.500 0.500
7 Ag 0.000 0.500 0.772
8 Ag 0.500 0.000 0.228